Diffraction record for NaLiGeAs2. The X-ray diffraction stick pattern is theoretical, not measured: it uses a cell relaxed with PBE and Cu Kα (weighted mean of Kα1 and Kα2).

The 12 most intense peaks (10° ≤ 2θ ≤ 90°), low angle first:
d (Å), 2theta, I_rel
6.782, 13.05, 58.3
5.687, 15.58, 54.0
3.784, 23.51, 59.2
3.749, 23.74, 100.0
3.391, 26.28, 88.4
3.241, 27.52, 45.7
3.105, 28.75, 49.0
2.566, 34.96, 53.6
2.534, 35.42, 54.7
2.049, 44.20, 39.2
2.031, 44.61, 48.5
1.995, 45.46, 62.1

Structural model:
Cell: 7.163 7.163 9.908 Å, 122.53 122.53 32.95°
Positions (direct):
Na 0.210 0.210 0.143
Na 0.790 0.790 0.857
Li 0.351 0.351 0.584
Li 0.649 0.649 0.416
Ge 0.037 0.037 0.691
Ge 0.963 0.963 0.309
As 0.160 0.160 0.579
As 0.446 0.446 0.143
As 0.554 0.554 0.857
As 0.840 0.840 0.421

Diffraction record for NdDy2Ho7. The X-ray diffraction stick pattern is theoretical, not measured: it uses a cell relaxed with PBE and Cu Kα (weighted mean of Kα1 and Kα2).

The 12 most intense peaks (10° ≤ 2θ ≤ 90°), low angle first:
d (Å), 2theta, I_rel
2.890, 30.94, 100.0
2.503, 35.88, 50.6
1.770, 51.64, 30.0
1.768, 51.71, 6.0
1.511, 61.36, 14.3
1.508, 61.48, 28.5
1.445, 64.49, 12.3
1.250, 76.13, 3.8
1.149, 84.29, 8.9
1.148, 84.38, 7.4
1.121, 86.94, 5.6
1.119, 87.11, 8.4

Structural model:
Cell: 6.124 7.085 7.910 Å, 77.03 75.10 73.31°
Positions (direct):
Nd 0.000 0.000 0.000
Dy 0.201 0.799 0.599
Dy 0.799 0.201 0.401
Ho 0.000 0.500 0.000
Ho 0.200 0.301 0.599
Ho 0.400 0.100 0.201
Ho 0.401 0.599 0.201
Ho 0.599 0.401 0.799
Ho 0.600 0.900 0.799
Ho 0.800 0.699 0.401

Diffraction record for NiP8W. The X-ray diffraction stick pattern is theoretical, not measured: it uses a cell relaxed with PBE and Cu Kα (weighted mean of Kα1 and Kα2).

The 12 most intense peaks (10° ≤ 2θ ≤ 90°), low angle first:
d (Å), 2theta, I_rel
4.608, 19.26, 100.0
3.412, 26.12, 45.3
3.124, 28.57, 63.3
2.586, 34.69, 57.3
2.577, 34.82, 58.2
2.547, 35.24, 27.3
2.304, 39.09, 22.9
1.992, 45.53, 28.8
1.854, 49.13, 22.4
1.804, 50.60, 47.8
1.798, 50.79, 64.3
1.677, 54.73, 32.4

Structural model:
Cell: 6.249 6.249 8.791 Å, 90.00 90.00 120.00°
Positions (direct):
Ni 0.000 0.000 0.000
Ni 0.000 0.000 0.500
P 0.044 0.320 0.347
P 0.044 0.724 0.153
P 0.276 0.320 0.153
P 0.276 0.956 0.347
P 0.320 0.044 0.847
P 0.320 0.276 0.653
P 0.333 0.667 0.037
P 0.333 0.667 0.463
P 0.667 0.333 0.537
P 0.667 0.333 0.963
P 0.680 0.724 0.347
P 0.680 0.956 0.153
P 0.724 0.044 0.653
P 0.724 0.680 0.847
P 0.956 0.276 0.847
P 0.956 0.680 0.653
W 0.333 0.667 0.750
W 0.667 0.333 0.250